[1]
Simulated powder X-ray diffraction pattern
Compound: MgCuSnP2
Radiation: Cu Kα (λ = 1.5418 Å)
Structure: DFT lattice parameters and positions (GGA-PBE)
No peak broadening, texture or thermal motion is included.

Largest 10 diffraction maxima, low angle first, 2θ = 5–70°:
| 2θ/deg | I/Imax |
| --- | --- |
| 17.50 | 24 |
| 24.32 | 100 |
| 24.84 | 41 |
| 33.88 | 31 |
| 35.42 | 54 |
| 42.46 | 21 |
| 43.43 | 44 |
| 49.82 | 40 |
| 50.96 | 19 |
| 62.61 | 20 |

Structural model:
a = 5.068 Å, b = 5.068 Å, c = 5.292 Å
α = 90.00°, β = 90.00°, γ = 90.00°
Space group P4/mmm (No. 123)
Symmetry-distinct sites (fractional):
Mg 0.000 0.000 0.000 x1
Cu 0.500 0.500 0.000 x1
Sn 0.000 0.000 0.500 x1
P 0.000 0.500 0.500 x2


[2]
Simulated powder X-ray diffraction pattern
Compound: Y2Al3Fe14
Radiation: Cu Kα (λ = 1.5418 Å)
Structure: DFT lattice parameters and positions (GGA-PBE)
No peak broadening, texture or thermal motion is included.

Largest 10 diffraction maxima, low angle first, 2θ = 5–70°:
| 2θ/deg | I/Imax |
| --- | --- |
| 30.20 | 12 |
| 32.58 | 13 |
| 36.39 | 46 |
| 41.04 | 33 |
| 42.27 | 45 |
| 42.76 | 100 |
| 44.18 | 27 |
| 47.99 | 32 |
| 49.28 | 11 |
| 69.87 | 16 |

Structural model:
a = 8.5516 Å, b = 8.5516 Å, c = 8.1996 Å
α = 90.00°, β = 90.00°, γ = 120.00°
Space group P6_3/mmc (No. 194)
Symmetry-distinct sites (fractional):
Y 0.0000 0.0000 0.2500 x2
Y 0.3333 0.6667 0.2500 x2
Al 0.0000 0.5000 0.0000 x6
Fe 0.0350 0.3564 0.7500 x12
Fe 0.1656 0.3311 0.0169 x12
Fe 0.3333 0.6667 0.6115 x4